Entry 1:
Diffraction record for LaTl3Br7. The powder diffraction line list is simulated, not measured: it uses a crystal structure in Alexandria, relaxed with GGA-PBE and CuKα.
No peak broadening, texture or thermal motion is included.

Largest 10 diffraction maxima, most intense first, 2θ = 10–90°:
two_theta  Rel. int.
21.10  100
34.85  55
29.77  52
19.72  47
20.51  44
32.45  41
35.79  37
36.32  33
37.23  32
26.17  30

Structure:
```
LaTl3Br7
1.0
6.007 -5.518 0.000
6.007 5.518 0.000
-5.752 0.000 6.514
La Tl Br
1 3 7
Cartesian
0.000 0.000 0.000
3.526 3.101 3.687
6.041 0.000 0.928
3.526 -3.101 3.687
0.543 2.153 2.102
-2.826 0.000 5.961
0.559 2.651 5.415
0.543 -2.153 2.102
4.668 0.000 3.994
0.559 -2.651 5.415
9.349 0.000 1.308
```



Entry 2:
Diffraction record for La2TlBr2. The powder diffraction line list is simulated, not measured: it uses a crystal structure in Alexandria, relaxed with GGA-PBE and CuKα.
No peak broadening, texture or thermal motion is included.

Largest 10 diffraction maxima, most intense first, 2θ = 10–90°:
two_theta  Rel. int.
26.93  100
41.16  36
35.56  34
31.68  24
42.13  21
49.88  18
66.59  15
65.45  15
55.50  9
58.76  9

Structure:
```
La2TlBr2
1.0
4.386 0.000 0.000
-2.193 3.798 0.000
0.000 0.000 33.790
La Tl Br
6 3 6
Cartesian
0.000 0.000 3.569
0.000 0.000 30.221
0.000 2.532 18.957
0.000 2.532 26.096
2.193 1.266 7.694
2.193 1.266 14.833
0.000 0.000 16.895
0.000 2.532 5.632
2.193 1.266 28.158
0.000 0.000 9.455
0.000 0.000 24.335
0.000 2.532 13.071
0.000 2.532 31.982
2.193 1.266 1.808
2.193 1.266 20.719
```



Entry 3:
Diffraction record for La4TlBr4. The powder diffraction line list is simulated, not measured: it uses a crystal structure in Alexandria, relaxed with GGA-PBE and CuKα.
No peak broadening, texture or thermal motion is included.

Largest 10 diffraction maxima, most intense first, 2θ = 10–90°:
two_theta  Rel. int.
29.02  100
41.76  74
29.37  55
31.25  36
51.65  35
41.50  33
17.19  29
36.42  29
59.77  19
25.16  19

Structure:
```
La4TlBr4
1.0
-4.866 4.866 3.041
4.866 -4.866 3.041
4.866 4.866 -3.041
La Tl Br
4 1 4
Cartesian
6.615 0.818 0.000
0.818 3.116 0.000
4.048 1.749 3.041
-1.749 4.048 3.041
0.000 0.000 0.000
3.837 2.244 0.000
2.621 -1.029 3.041
2.244 5.895 0.000
1.029 2.621 3.041
```



Entry 4:
Diffraction record for La5Tl4Br. The powder diffraction line list is simulated, not measured: it uses a crystal structure in Alexandria, relaxed with GGA-PBE and CuKα.
No peak broadening, texture or thermal motion is included.

Largest 10 diffraction maxima, most intense first, 2θ = 10–90°:
two_theta  Rel. int.
31.40  100
34.22  40
59.52  33
54.03  21
49.18  15
40.49  13
65.53  12
88.38  10
68.01  10
80.74  7

Structure:
```
La5Tl4Br
1.0
3.705 0.000 0.000
0.000 3.705 0.000
0.000 0.000 22.278
La Tl Br
5 4 1
Cartesian
0.000 0.000 0.000
0.000 0.000 4.520
0.000 0.000 8.930
0.000 0.000 13.348
0.000 0.000 17.757
1.853 1.853 2.265
1.853 1.853 6.811
1.853 1.853 15.466
1.853 1.853 20.013
1.853 1.853 11.139
```



Entry 5:
Diffraction record for La5TlBr5. The powder diffraction line list is simulated, not measured: it uses a crystal structure in Alexandria, relaxed with GGA-PBE and CuKα.
No peak broadening, texture or thermal motion is included.

Largest 10 diffraction maxima, most intense first, 2θ = 10–90°:
two_theta  Rel. int.
28.89  100
29.20  51
42.52  33
40.10  20
40.50  18
41.71  18
41.37  17
10.72  14
59.84  12
69.46  10

Structure:
```
La5TlBr5
1.0
6.198 0.000 0.000
2.635 6.874 0.000
0.051 2.640 8.250
La Tl Br
5 1 5
Cartesian
0.000 0.000 0.000
3.024 2.895 1.340
3.132 4.066 5.450
5.752 5.448 2.800
5.860 6.619 6.910
3.099 0.000 0.000
2.653 5.741 2.859
2.764 6.851 6.702
3.124 1.320 4.125
6.120 2.662 1.549
6.231 3.773 5.392
```



Entry 6:
Diffraction record for La4ZnBr5. The powder diffraction line list is simulated, not measured: it uses a crystal structure in Alexandria, relaxed with GGA-PBE and CuKα.
No peak broadening, texture or thermal motion is included.

Largest 10 diffraction maxima, most intense first, 2θ = 10–90°:
two_theta  Rel. int.
29.04  100
41.14  25
41.89  24
39.66  14
53.04  12
43.40  11
68.70  10
60.23  8
49.23  7
15.26  7

Structure:
```
La4ZnBr5
1.0
9.460 -2.085 0.000
9.460 2.085 0.000
-1.960 0.000 8.879
La Zn Br
4 1 5
Cartesian
-0.424 0.000 2.102
4.599 0.000 8.201
12.361 0.000 0.678
17.384 0.000 6.777
9.460 0.000 0.000
1.563 0.000 7.327
2.554 0.000 2.889
8.480 0.000 4.440
14.406 0.000 5.990
15.398 0.000 1.552
```



Entry 7:
Diffraction record for Li2Br3. The powder diffraction line list is simulated, not measured: it uses a crystal structure in Alexandria, relaxed with GGA-PBE and CuKα.
No peak broadening, texture or thermal motion is included.

Largest 10 diffraction maxima, most intense first, 2θ = 10–90°:
two_theta  Rel. int.
30.96  100
29.07  96
44.76  48
55.83  42
31.61  37
25.64  36
55.42  18
53.57  18
54.26  16
73.88  16

Structure:
```
Li2Br3
1.0
4.049 0.000 0.000
-2.025 3.507 0.000
0.000 0.000 25.474
Li Br
6 9
Cartesian
0.000 0.000 2.554
0.000 0.000 22.920
0.000 2.338 14.429
0.000 2.338 19.537
2.025 1.169 5.937
2.025 1.169 11.046
0.000 0.000 7.091
0.000 0.000 12.737
0.000 0.000 18.383
0.000 2.338 4.246
0.000 2.338 9.892
0.000 2.338 24.074
2.025 1.169 1.400
2.025 1.169 15.583
2.025 1.169 21.229
```



Entry 8:
Diffraction record for LiMnBr3. The powder diffraction line list is simulated, not measured: it uses a crystal structure in Alexandria, relaxed with GGA-PBE and CuKα.
No peak broadening, texture or thermal motion is included.

Largest 10 diffraction maxima, most intense first, 2θ = 10–90°:
two_theta  Rel. int.
26.97  100
26.67  60
30.89  47
27.32  44
44.64  38
45.47  36
31.98  23
44.21  21
44.28  19
52.98  18

Structure:
```
LiMnBr3
1.0
6.683 -6.145 0.000
6.683 6.145 0.000
-1.500 0.000 6.854
Li Mn Br
4 4 12
Cartesian
5.559 4.868 5.141
6.309 3.147 1.714
5.559 -3.147 5.141
6.309 -4.868 1.714
3.016 1.128 4.835
3.766 -1.128 1.408
8.102 1.128 5.446
8.852 -1.128 2.019
0.577 1.044 4.272
3.753 3.117 6.106
1.327 -1.044 0.845
4.357 1.008 2.662
7.365 3.117 4.175
3.608 -1.008 6.089
8.260 1.008 0.765
4.503 -3.117 2.679
7.510 -1.008 4.192
10.540 1.044 6.009
8.114 -3.117 0.748
11.290 -1.044 2.582
```



Entry 9:
Diffraction record for Na2LiMnBr6. The powder diffraction line list is simulated, not measured: it uses a crystal structure in Alexandria, relaxed with GGA-PBE and CuKα.
No peak broadening, texture or thermal motion is included.

Largest 10 diffraction maxima, most intense first, 2θ = 10–90°:
two_theta  Rel. int.
28.19  100
29.08  33
27.83  32
28.39  31
27.61  31
37.06  17
42.02  17
43.97  15
16.83  15
48.67  14

Structure:
```
Na2LiMnBr6
1.0
6.984 0.000 0.000
3.021 6.624 0.000
3.384 1.929 6.158
Na Li Mn Br
2 1 1 6
Cartesian
0.000 0.000 0.000
6.432 4.503 2.773
2.936 1.893 1.626
9.949 5.532 4.896
4.438 6.614 2.525
5.072 4.282 5.443
7.967 6.762 4.200
5.343 2.445 0.993
7.303 5.510 0.065
9.184 3.556 3.568
```



Entry 10:
Diffraction record for LiMnSnBr5. The powder diffraction line list is simulated, not measured: it uses a crystal structure in Alexandria, relaxed with GGA-PBE and CuKα.
No peak broadening, texture or thermal motion is included.

Largest 10 diffraction maxima, most intense first, 2θ = 10–90°:
two_theta  Rel. int.
28.58  100
30.73  84
22.70  65
27.62  63
30.20  61
35.37  60
26.82  59
25.88  52
46.36  51
39.25  45

Structure:
```
LiMnSnBr5
1.0
4.513 -6.281 0.000
4.513 6.281 0.000
-3.972 0.000 8.838
Li Mn Sn Br
2 2 2 10
Cartesian
0.000 0.000 0.000
-1.986 0.000 4.419
1.534 1.971 6.629
3.520 -1.971 2.210
3.520 2.551 2.210
1.534 -2.551 6.629
3.520 5.239 2.210
-0.110 3.461 7.877
0.600 0.517 4.896
3.178 3.461 5.380
2.586 -0.517 0.477
2.468 0.517 8.362
1.876 -3.461 3.458
4.454 -0.517 3.943
5.164 -3.461 0.961
1.534 -5.239 6.629
```



Entry 11:
Diffraction record for Li3MoBr8. The powder diffraction line list is simulated, not measured: it uses a crystal structure in Alexandria, relaxed with GGA-PBE and CuKα.
No peak broadening, texture or thermal motion is included.

Largest 10 diffraction maxima, most intense first, 2θ = 10–90°:
two_theta  Rel. int.
31.01  100
27.41  70
28.09  69
46.93  59
13.61  48
34.34  42
11.05  21
17.56  21
53.79  20
43.51  16

Structure:
```
Li3MoBr8
1.0
4.160 -5.224 0.000
4.160 5.224 0.000
0.000 0.000 8.005
Li Mo Br
3 1 8
Cartesian
0.000 0.000 0.000
2.080 2.612 6.626
2.080 -2.612 1.379
0.000 0.000 4.003
1.816 0.040 5.796
1.816 -0.040 2.209
4.160 2.751 4.003
4.160 2.640 0.000
4.160 -2.640 0.000
4.160 -2.751 4.003
6.503 0.040 2.209
6.503 -0.040 5.796
```



Entry 12:
Diffraction record for Li2TlMoBr8. The powder diffraction line list is simulated, not measured: it uses a crystal structure in Alexandria, relaxed with GGA-PBE and CuKα.
No peak broadening, texture or thermal motion is included.

Largest 10 diffraction maxima, most intense first, 2θ = 10–90°:
two_theta  Rel. int.
13.48  100
29.26  56
31.08  52
32.67  42
20.78  38
45.43  34
17.32  32
40.83  20
21.62  20
46.06  20

Structure:
```
Li2TlMoBr8
1.0
6.651 0.000 0.000
1.229 7.092 0.000
0.119 3.293 8.221
Li Tl Mo Br
2 1 1 8
Cartesian
0.473 2.209 2.690
7.526 8.176 5.531
4.000 5.192 4.111
3.940 3.546 0.000
1.484 6.929 3.465
1.964 8.209 7.917
2.972 4.893 7.090
3.072 2.717 2.275
4.927 7.668 5.946
5.027 5.491 1.132
6.035 2.176 0.304
6.515 3.455 4.756
```